For CeHfMg14, a PBE-relaxed structure gives the theoretical powder X-ray diffraction pattern in this record (copper Kα).
Intensities are scaled so that the largest is 100.

The 10 most intense peaks (2θ from 10° to 80°), sorted by position:
two_theta  d (Å)  I (rel.)  index
15.79  5.614  74  1 0 0
17.35  5.112  20  0 0 2
23.54  3.780  60  1 0 2
27.52  3.241  20  1 1 0
31.88  2.807  33  2 0 0
32.71  2.737  26  1 1 2
35.11  2.556  23  0 0 4
36.52  2.460  100  2 0 2
46.33  1.960  20  2 1 2
48.15  1.890  21  2 0 4

Atomic structure:
```
data_CeHfMg14
_space_group_name_H-M_alt 'P -6 m 2'
_space_group_IT_number 187
_space_group_name_Hall 'P -6 2'
_cell_length_a 6.4826
_cell_length_b 6.4826
_cell_length_c 10.2236
_cell_angle_alpha 90.00
_cell_angle_beta 90.00
_cell_angle_gamma 120.00
loop_
_atom_site_label
_atom_site_fract_x
_atom_site_fract_y
_atom_site_fract_z
Ce1 0.0000 0.0000 0.0000
Hf1 0.0000 0.0000 0.5000
Mg1 0.0010 0.5005 0.5000
Mg2 0.0097 0.5049 0.0000
Mg3 0.1674 0.3347 0.2571
Mg4 0.6667 0.3333 0.2442
```